# 1
For V3Ir, DFT lattice parameters and positions (GGA-PBE) gives the simulated XRD peak list in this record (copper Kα).

```
data_V3Ir
_cell_length_a 4.7870
_cell_length_b 4.7870
_cell_length_c 4.7870
_cell_angle_alpha 90.00
_cell_angle_beta 90.00
_cell_angle_gamma 90.00
_symmetry_space_group_name_H-M 'P m -3 n'
_symmetry_Int_Tables_number 223
_symmetry_space_group_name_Hall '-P 4n 2 3'
loop_
_atom_site_label
_atom_site_fract_x
_atom_site_fract_y
_atom_site_fract_z
V1 0.0000 0.2500 0.5000
Ir1 0.0000 0.0000 0.0000
```

Top 11 peaks for 2θ = 10–90°, by angle:
(1 1 0), 26.3 deg, I 76
(2 0 0), 37.6 deg, I 46
(2 1 0), 42.2 deg, I 22
(2 1 1), 46.5 deg, I 100
(2 2 0), 54.2 deg, I 11
(3 1 0), 61.2 deg, I 16
(2 2 2), 67.8 deg, I 1
(3 2 0), 71.0 deg, I 4
(3 2 1), 74.1 deg, I 49
(4 0 0), 80.2 deg, I 9
(4 1 1), 86.2 deg, I 10

# 2
For Ce12InPt7, DFT lattice parameters and positions (GGA-PBE) gives the simulated XRD peak list in this record (copper Kα).

```
data_Ce12InPt7
_cell_length_a 11.9880
_cell_length_b 11.9880
_cell_length_c 14.3021
_cell_angle_alpha 90.00
_cell_angle_beta 90.00
_cell_angle_gamma 90.00
_symmetry_space_group_name_H-M 'I 4/m c m'
_symmetry_Int_Tables_number 140
_symmetry_space_group_name_Hall '-I 4 2c'
loop_
_atom_site_label
_atom_site_fract_x
_atom_site_fract_y
_atom_site_fract_z
Ce1 0.0000 0.5000 0.1462
Ce2 0.0705 0.2088 0.1438
Ce3 0.1746 0.3254 0.5000
In1 0.0000 0.0000 0.0000
Pt1 0.0000 0.0000 0.2500
Pt2 0.1259 0.3741 0.0000
Pt3 0.1742 0.3258 0.3073
```

Top 12 peaks for 2θ = 10–90°, by angle:
(4 1 1), 31.4 deg, I 74
(3 3 0), 31.7 deg, I 42
(3 2 3), 32.8 deg, I 66
(4 2 0), 33.4 deg, I 43
(3 1 4), 34.5 deg, I 100
(2 1 5), 35.6 deg, I 18
(4 1 3), 36.2 deg, I 62
(0 0 6), 37.7 deg, I 26
(4 1 5), 44.4 deg, I 18
(3 3 6), 50.1 deg, I 25
(7 1 4), 60.4 deg, I 16
(5 5 6), 67.8 deg, I 24

# 3
For Mg6BiW, DFT lattice parameters and positions (GGA-PBE) gives the simulated XRD peak list in this record (copper Kα).

```
data_Mg6BiW
_cell_length_a 5.1072
_cell_length_b 6.2429
_cell_length_c 10.6382
_cell_angle_alpha 90.00
_cell_angle_beta 90.00
_cell_angle_gamma 90.00
_symmetry_space_group_name_H-M 'A m m 2'
_symmetry_Int_Tables_number 38
loop_
_symmetry_equiv_pos_as_xyz
'x,y,z'
'-x,-y,z'
'-x,y,z'
'x,-y,z'
'x,y+1/2,z+1/2'
'-x,-y+1/2,z+1/2'
'-x,y+1/2,z+1/2'
'x,-y+1/2,z+1/2'
loop_
_atom_site_label
_atom_site_fract_x
_atom_site_fract_y
_atom_site_fract_z
Mg1 0.0000 0.0000 0.0000
Mg2 0.0000 0.2368 0.7476
Mg3 0.5000 0.0000 0.1680
Mg4 0.5000 0.2414 0.9142
Bi1 0.0000 0.0000 0.5061
W1 0.5000 0.0000 0.6709
```

Top 12 peaks for 2θ = 10–90°, by angle:
(0 1 1), 16.5 deg, I 100
(0 0 2), 16.7 deg, I 17
(1 1 1), 24.0 deg, I 27
(1 0 2), 24.2 deg, I 41
(0 2 0), 28.6 deg, I 18
(0 2 2), 33.3 deg, I 17
(1 1 3), 34.0 deg, I 47
(2 0 0), 35.1 deg, I 28
(1 2 2), 37.8 deg, I 68
(1 0 4), 38.2 deg, I 34
(2 1 1), 39.1 deg, I 29
(3 2 2), 64.8 deg, I 20

# 4
For YMg14Bi, DFT lattice parameters and positions (GGA-PBE) gives the simulated XRD peak list in this record (copper Kα).

```
data_YMg14Bi
_cell_length_a 10.4820
_cell_length_b 6.4190
_cell_length_c 11.3939
_cell_angle_alpha 90.00
_cell_angle_beta 90.00
_cell_angle_gamma 90.00
_symmetry_space_group_name_H-M 'A m m 2'
_symmetry_Int_Tables_number 38
loop_
_symmetry_equiv_pos_as_xyz
'x,y,z'
'-x,-y,z'
'-x,y,z'
'x,-y,z'
'x,y+1/2,z+1/2'
'-x,-y+1/2,z+1/2'
'-x,y+1/2,z+1/2'
'x,-y+1/2,z+1/2'
loop_
_atom_site_label
_atom_site_fract_x
_atom_site_fract_y
_atom_site_fract_z
Y1 0.0000 0.0000 0.0000
Mg1 0.0000 0.2466 0.2496
Mg2 0.2523 0.0000 0.6688
Mg3 0.2539 0.0000 0.1670
Mg4 0.2584 0.2480 0.9140
Mg5 0.5000 0.0000 0.0000
Mg6 0.5000 0.0000 0.5002
Mg7 0.5000 0.2495 0.7495
Bi1 0.0000 0.0000 0.4988
```

Top 12 peaks for 2θ = 10–90°, by angle:
(0 0 2), 15.6 deg, I 33
(2 0 0), 16.9 deg, I 29
(1 0 2), 17.7 deg, I 51
(2 0 2), 23.1 deg, I 29
(0 2 2), 32.0 deg, I 32
(1 2 2), 33.2 deg, I 24
(4 0 0), 34.2 deg, I 38
(2 0 4), 35.9 deg, I 52
(2 2 2), 36.4 deg, I 100
(4 2 2), 47.6 deg, I 21
(6 2 2), 62.7 deg, I 28
(4 2 6), 67.6 deg, I 23

# 5
For Si3H, DFT lattice parameters and positions (GGA-PBE) gives the simulated XRD peak list in this record (copper Kα).

```
data_Si3H
_cell_length_a 3.8764
_cell_length_b 3.8764
_cell_length_c 33.6234
_cell_angle_alpha 90.00
_cell_angle_beta 90.00
_cell_angle_gamma 120.00
_symmetry_space_group_name_H-M 'R -3 m'
_symmetry_Int_Tables_number 166
_symmetry_space_group_name_Hall '-R 3 2"'
loop_
_atom_site_label
_atom_site_fract_x
_atom_site_fract_y
_atom_site_fract_z
Si1 0.0000 0.0000 0.0838
Si2 0.0000 0.0000 0.1549
Si3 0.0000 0.0000 0.2721
H1 0.0000 0.0000 0.3168
```

Top 12 peaks for 2θ = 10–90°, by angle:
(0 0 6), 15.8 deg, I 38
(0 0 9), 23.8 deg, I 72
(1 0 1), 26.7 deg, I 91
(0 1 2), 27.1 deg, I 42
(0 1 5), 29.7 deg, I 83
(0 0 12), 31.9 deg, I 27
(0 1 11), 39.9 deg, I 43
(1 1 0), 46.9 deg, I 100
(1 0 16), 51.3 deg, I 37
(1 1 9), 53.2 deg, I 42
(0 1 17), 53.8 deg, I 37
(1 1 12), 57.8 deg, I 27

# 6
For SmBiPd2, DFT lattice parameters and positions (GGA-PBE) gives the simulated XRD peak list in this record (copper Kα).

```
data_SmBiPd2
_cell_length_a 7.0243
_cell_length_b 7.0243
_cell_length_c 7.0243
_cell_angle_alpha 90.00
_cell_angle_beta 90.00
_cell_angle_gamma 90.00
_symmetry_space_group_name_H-M 'F m -3 m'
_symmetry_Int_Tables_number 225
_symmetry_space_group_name_Hall '-F 4 2 3'
loop_
_atom_site_label
_atom_site_fract_x
_atom_site_fract_y
_atom_site_fract_z
Sm1 0.0000 0.0000 0.0000
Bi1 0.0000 0.0000 0.5000
Pd1 0.2500 0.2500 0.2500
```

Top 12 peaks for 2θ = 10–90°, by angle:
(1 1 1), 21.9 deg, I 2
(2 0 0), 25.4 deg, I 7
(2 2 0), 36.2 deg, I 100
(3 1 1), 42.7 deg, I 1
(2 2 2), 44.7 deg, I 2
(4 0 0), 52.1 deg, I 18
(3 3 1), 57.2 deg, I 1
(4 2 0), 58.8 deg, I 3
(4 2 2), 65.0 deg, I 36
(4 4 0), 76.8 deg, I 11
(6 0 0), 82.4 deg, I 2
(6 2 0), 87.9 deg, I 17

# 7
For LaRe2Si2, DFT lattice parameters and positions (GGA-PBE) gives the simulated XRD peak list in this record (copper Kα).

```
data_LaRe2Si2
_cell_length_a 4.1638
_cell_length_b 4.2555
_cell_length_c 21.1610
_cell_angle_alpha 90.00
_cell_angle_beta 90.00
_cell_angle_gamma 90.00
_symmetry_space_group_name_H-M 'I m m a'
_symmetry_Int_Tables_number 74
_symmetry_space_group_name_Hall '-I 2b 2'
loop_
_atom_site_label
_atom_site_fract_x
_atom_site_fract_y
_atom_site_fract_z
La1 0.0000 0.2500 0.1633
Re1 0.0000 0.2500 0.4613
Re2 0.0000 0.2500 0.9645
Si1 0.0000 0.2500 0.6038
Si2 0.0000 0.2500 0.7215
```

Top 12 peaks for 2θ = 10–90°, by angle:
(0 0 4), 16.8 deg, I 16
(1 1 4), 34.6 deg, I 100
(1 1 6), 39.6 deg, I 57
(0 2 0), 42.5 deg, I 26
(2 0 0), 43.4 deg, I 34
(2 0 2), 44.3 deg, I 9
(1 1 8), 45.9 deg, I 23
(1 1 10), 53.1 deg, I 19
(2 2 0), 62.4 deg, I 17
(2 2 2), 63.1 deg, I 9
(1 3 4), 72.6 deg, I 12
(3 1 4), 74.0 deg, I 11

# 8
For La2PC, DFT lattice parameters and positions (GGA-PBE) gives the simulated XRD peak list in this record (copper Kα).

```
data_La2PC
_cell_length_a 8.8934
_cell_length_b 8.9231
_cell_length_c 9.0540
_cell_angle_alpha 90.19
_cell_angle_beta 90.12
_cell_angle_gamma 90.27
_symmetry_space_group_name_H-M 'P 1'
_symmetry_Int_Tables_number 1
loop_
_symmetry_equiv_pos_as_xyz
'x,y,z'
loop_
_atom_site_label
_atom_site_fract_x
_atom_site_fract_y
_atom_site_fract_z
La1 0.0000 0.0000 0.0000
La2 0.0009 0.8875 0.5843
La3 0.1163 0.2411 0.3555
La4 0.1223 0.6383 0.2411
La5 0.2201 0.2538 0.7219
La6 0.2417 0.6243 0.8365
La7 0.3635 0.8843 0.4820
La8 0.3676 0.9854 0.1162
La9 0.4684 0.5196 0.4843
La10 0.4927 0.3978 0.1130
La11 0.6109 0.7546 0.8612
La12 0.6369 0.1304 0.7215
La13 0.7261 0.7637 0.2338
La14 0.7495 0.1329 0.3531
La15 0.8674 0.3713 0.9755
La16 0.8808 0.4972 0.6062
P1 0.1841 0.3164 0.0453
P2 0.3066 0.9467 0.7951
P3 0.4371 0.1972 0.4172
P4 0.5551 0.4375 0.7919
P5 0.6776 0.0708 0.0388
P6 0.6796 0.8203 0.5506
P7 0.8038 0.4515 0.2923
P8 0.9319 0.6926 0.9176
C1 0.1259 0.9439 0.2764
C2 0.1559 0.6417 0.5422
C3 0.1760 0.4896 0.5444
C4 0.4252 0.6698 0.2416
C5 0.4285 0.6936 0.0929
C6 0.9239 0.2171 0.7400
C7 0.9264 0.1844 0.5927
C8 0.9748 0.9173 0.2873
```

Top 12 peaks for 2θ = 10–90°, by angle:
(-1 1 2), 24.2 deg, I 38
(2 -1 1), 24.4 deg, I 50
(1 2 1), 24.5 deg, I 26
(2 0 -2), 28.1 deg, I 72
(2 2 0), 28.4 deg, I 25
(0 1 3), 31.3 deg, I 95
(1 -3 0), 31.7 deg, I 69
(3 -1 0), 31.8 deg, I 100
(2 -1 3), 37.3 deg, I 46
(1 -3 2), 37.5 deg, I 25
(3 1 -2), 37.6 deg, I 44
(4 -3 1), 52.2 deg, I 34